Structure and computed powder diffractogram of CoH2Cl2O (a cell relaxed with PBE+U; λ = 1.5418 Å (Cu Kα)).
Kinematic intensities with the Lorentz-polarization factor, no thermal factor.

Top 10 peaks for 2θ from 10° to 90°, most intense first:
- 15.75 deg, intensity 100, hkl 0 0 2
- 12.79 deg, intensity 86, hkl 1 0 1
- 36.45 deg, intensity 67, hkl 2 1 2
- 39.04 deg, intensity 42, hkl 3 0 3
- 31.68 deg, intensity 41, hkl 1 1 2
- 33.61 deg, intensity 32, hkl 2 1 1
- 25.75 deg, intensity 30, hkl 2 0 2
- 40.73 deg, intensity 30, hkl 2 1 3
- 49.16 deg, intensity 29, hkl 1 1 5
- 48.92 deg, intensity 25, hkl 4 1 0

Structure:
abc: 8.779 3.517 11.254
angles: 90.00 90.00 90.00
Positions (direct):
Co (0.179, 0.250, 0.019)
Co (0.321, 0.750, 0.519)
Co (0.679, 0.250, 0.481)
Co (0.821, 0.750, 0.981)
H (0.053, 0.750, 0.640)
H (0.193, 0.750, 0.734)
H (0.307, 0.250, 0.234)
H (0.447, 0.250, 0.140)
H (0.553, 0.750, 0.860)
H (0.693, 0.750, 0.766)
H (0.807, 0.250, 0.266)
H (0.947, 0.250, 0.360)
Cl (0.033, 0.750, 0.126)
Cl (0.192, 0.250, 0.407)
Cl (0.308, 0.750, 0.907)
Cl (0.467, 0.250, 0.626)
Cl (0.533, 0.750, 0.374)
Cl (0.692, 0.250, 0.093)
Cl (0.808, 0.750, 0.593)
Cl (0.967, 0.250, 0.874)
O (0.165, 0.750, 0.649)
O (0.335, 0.250, 0.149)
O (0.665, 0.750, 0.851)
O (0.835, 0.250, 0.351)